HoTlVO4: calculated powder diffractogram (Cu Kα), based on DFT lattice parameters and positions (GGA+U).

Peak list (6 most intense, 10° ≤ 2θ ≤ 90°, by intensity)
h k l, two_theta, I_rel
1 1 0, 21.4, 100
0 1 2, 28.7, 57
0 2 0, 30.2, 45
2 1 -2, 37.4, 35
2 1 1, 39.2, 28
1 0 1, 21.8, 24

Structure:
```
data_HoTlVO4
_chemical_formula_sum 'Ho2 Tl2 V2 O8'
_symmetry_space_group_name_H-M 'P 1 21/m 1'
_symmetry_Int_Tables_number 11
_cell_length_a 6.024
_cell_length_b 5.911
_cell_length_c 7.563
_cell_angle_alpha 90.00
_cell_angle_beta 104.85
_cell_angle_gamma 90.00
loop_
_symmetry_equiv_pos_as_xyz
'x,y,z'
'-x,-y,-z'
'-x,y+1/2,-z'
'x,-y+1/2,z'
loop_
_atom_site_label
_atom_site_type_symbol
_atom_site_fract_x
_atom_site_fract_y
_atom_site_fract_z
_atom_site_occupancy
Ho1 Ho 0.175 0.250 0.053 1
Tl1 Tl 0.279 0.250 0.587 1
V1 V 0.303 0.750 0.858 1
O1 O 0.075 0.525 0.845 1
O2 O 0.489 0.750 0.077 1
O3 O 0.490 0.750 0.708 1
```